Structure and theoretical powder diffraction line list of Sc2Ag2SnPb (a PBE-relaxed structure; CuKα).
Intensities are scaled so that the largest is 100.

Peak list (10 most intense, 2θ = 10–90°, sorted by position)
2theta  I (rel.)
23.5  63
27.2  11
38.8  100
45.8  33
56.0  17
61.6  14
70.2  34
75.2  10
83.2  11
88.0  11

```
24
Lattice="11.3741 0.0000 0.0000 0.0000 4.6420 0.0000 -3.7932 0.0000 10.7253" Properties=species:S:1:pos:R:3 pbc="T T T"
Sc 0.0000 0.0000 0.0000
Sc -0.0384 2.3210 4.0199
Sc -0.0387 0.0000 8.0188
Sc 3.7820 2.3210 1.3726
Sc 3.7736 0.0000 5.3728
Sc 3.7859 2.3210 9.3611
Sc 7.5592 0.0000 2.6960
Sc 7.5560 2.3210 6.6944
Ag 0.9621 2.3210 1.3868
Ag 0.8979 0.0000 5.3138
Ag 0.9252 2.3210 9.3850
Ag 4.7082 0.0000 2.7336
Ag 4.7633 2.3210 6.6954
Ag 4.7394 0.0000 10.6836
Ag 8.4915 2.3210 4.0617
Ag 8.4749 0.0000 7.9971
Sn 1.8841 0.0000 2.6827
Sn 5.6686 2.3210 4.0238
Sn 5.6640 0.0000 8.0340
Sn 9.4535 0.0000 5.3556
Pb -1.9268 2.3210 9.3857
Pb 1.8812 2.3210 6.6925
Pb 5.6700 0.0000 0.0166
Pb 9.4617 2.3210 1.3496
```



Structure and theoretical powder diffraction line list of DyHo2Co8Ni (a PBE-relaxed structure; CuKα).
Intensities are scaled so that the largest is 100.

Peak list (10 most intense, 2θ = 10–90°, sorted by position)
2theta  I (rel.)
33.2  54
36.2  47
36.6  58
42.7  42
43.0  100
63.7  17
65.6  16
69.7  15
70.3  22
77.8  22

```
12
Lattice="2.4551 1.4175 8.1508 -2.4551 1.4175 8.1508 0.0000 -2.8349 8.1508" Properties=species:S:1:pos:R:3 pbc="T T T"
Dy 0.0000 0.0000 0.0000
Ho 0.0000 0.0000 3.4088
Ho 0.0000 0.0000 21.0435
Co -1.2300 -0.7102 10.1259
Co 0.0000 0.0000 8.1606
Co 0.0000 -1.4203 14.3264
Co -1.2300 0.7102 14.3264
Co 1.2300 -0.7102 10.1259
Co 0.0000 1.4203 10.1259
Co 0.0000 0.0000 16.2917
Co 1.2300 0.7102 14.3264
Ni 0.0000 0.0000 12.2262
```



Structure and theoretical powder diffraction line list of NaGdH2S2O9 (a PBE-relaxed structure; CuKα).
Intensities are scaled so that the largest is 100.

Peak list (10 most intense, 2θ = 10–90°, sorted by position)
2theta  I (rel.)
15.0  44
16.6  100
20.6  17
21.1  18
26.2  40
30.3  56
32.2  65
43.0  35
50.1  42
55.0  24

```
45
Lattice="6.8102 0.0000 0.0000 -3.4051 5.8978 0.0000 0.0000 0.0000 12.6142" Properties=species:S:1:pos:R:3 pbc="T T T"
Na -1.5842 2.7439 4.2047
Na 3.1684 0.0000 8.4095
Na 1.8209 3.1539 0.0000
Gd -1.4856 2.5731 10.5118
Gd 2.9711 0.0000 2.1024
Gd 1.9196 3.3248 6.3071
H -0.0018 0.5987 1.6019
H -2.8858 5.6000 5.8066
H 0.5193 0.2978 11.0123
H 2.8876 5.5970 10.0113
H 3.4034 5.2992 2.6029
H 6.2927 0.3008 6.8076
S -1.4723 2.6704 7.4485
S -0.3564 5.8377 11.6533
S 3.0487 0.0602 5.1657
S 1.8287 3.2877 3.2438
S 1.9329 3.2275 9.3704
S 5.2338 2.6102 0.9609
O -0.2924 0.5065 10.5118
O 0.5848 0.0000 2.1024
O -1.2367 3.6690 1.9307
O -1.3075 3.8187 8.3772
O -0.4113 2.2767 0.0893
O -0.2414 2.3945 6.6715
O -1.2107 4.9097 10.8762
O -1.2278 5.1157 4.2940
O 0.7518 2.8562 4.1724
O 0.8461 2.9924 10.3402
O 2.1773 0.7822 12.5249
O 2.1944 0.9881 5.9427
O 2.0976 2.0791 8.4418
O 0.3906 5.1344 6.1355
O 2.1685 2.2289 2.2740
O 0.5557 5.1208 12.5819
O 1.4522 4.4915 2.4668
O 1.6391 4.4033 8.4988
O 3.7957 0.7635 10.6835
O 3.9609 0.7770 4.2370
O 2.9938 3.6212 4.1154
O 3.1637 3.5034 10.1474
O 4.8573 1.4063 1.7380
O 5.0442 1.4945 8.3201
O 4.1569 3.0417 0.0323
O 4.2512 2.9055 6.4787
O 3.1127 5.3914 6.3071
```



Structure and theoretical powder diffraction line list of PrYIn2Ni4 (a PBE-relaxed structure; CuKα).
Intensities are scaled so that the largest is 100.

Peak list (10 most intense, 2θ = 10–90°, sorted by position)
2theta  I (rel.)
30.7  96
33.5  20
34.6  33
37.8  100
41.8  27
43.2  26
43.3  36
44.7  38
47.7  17
64.2  16

```
8
Lattice="4.0579 0.0000 0.0000 0.0000 5.1829 0.0000 0.0000 0.0000 7.1268" Properties=species:S:1:pos:R:3 pbc="T T T"
Pr 0.0000 0.0000 0.0000
Y 0.0000 2.5914 3.8846
In 2.0290 0.0000 4.4139
In 2.0290 2.5914 6.5839
Ni 0.0000 0.0000 2.7476
Ni 0.0000 2.5914 1.2027
Ni 2.0290 1.3216 1.9926
Ni 2.0290 3.8612 1.9926
```



Which formula does entry 2 have? DyHo2Co8Ni